Calculated X-ray diffraction stick pattern
Compound: CsHoCdTe3
Radiation: Cu Ka
Structure: a GGA-PBE-relaxed structure
Peak positions follow from Bragg's law for the DFT cell and can differ from measured ones.

Structure:
a b c (Å): 8.9805 8.9805 11.8658
angles (deg): 90.00 90.00 150.74
Element x y z (fractional)
Cs: 0.2489 0.7511 0.7500
Cs: 0.7511 0.2489 0.2500
Ho: 0.0000 0.0000 0.0000
Ho: 0.0000 0.0000 0.5000
Cd: 0.4627 0.5373 0.2500
Cd: 0.5373 0.4627 0.7500
Te: 0.0650 0.9350 0.2500
Te: 0.3805 0.6195 0.0456
Te: 0.3805 0.6195 0.4544
Te: 0.6195 0.3805 0.5456
Te: 0.6195 0.3805 0.9544
Te: 0.9350 0.0650 0.7500

Peak list (8 most intense, 10 to 90 degrees two-theta, by angle)
two_theta  d [Å]  intensity
10.2  8.689  83
26.1  3.420  100
29.2  3.060  62
30.1  2.966  49
35.9  2.502  56
39.8  2.267  43
45.9  1.977  42
47.7  1.907  35